Record 1
Structure and theoretical powder diffractogram of Mo3NO9 (a PBE+U-relaxed structure; a wavelength of 1.5418 Å).
No peak broadening, texture or thermal motion is included.

Crystal structure
```
data_Mo3NO9
_space_group_name_H-M_alt 'P 63/m'
_space_group_IT_number 176
_space_group_name_Hall '-P 6c'
_cell_length_a 11.1671
_cell_length_b 11.1671
_cell_length_c 3.6387
_cell_angle_alpha 90.00
_cell_angle_beta 90.00
_cell_angle_gamma 120.00
loop_
_atom_site_label
_atom_site_type_symbol
_atom_site_fract_x
_atom_site_fract_y
_atom_site_fract_z
Mo1 Mo 0.1092 0.4602 0.2500
N1 N 0.0000 0.0000 0.2500
O1 O 0.0162 0.2842 0.2500
O2 O 0.0778 0.5027 0.7500
O3 O 0.2177 0.7186 0.2500
```

Main lines, by angle (2θ from 10° to 80°):
2θ (°)  d_spacing  I (rel.)
18.35  4.835  28
24.35  3.655  100
26.17  3.406  45
29.30  3.049  50
34.79  2.579  34
40.69  2.217  20
42.85  2.110  26
55.45  1.657  19

=====

Record 2
Structure and theoretical powder diffractogram of Mg6VCrO8 (a PBE+U-relaxed structure; a wavelength of 1.5418 Å).
No peak broadening, texture or thermal motion is included.

Crystal structure
```
data_Mg6VCrO8
_space_group_name_H-M_alt 'P 4/m m m'
_space_group_IT_number 123
_space_group_name_Hall '-P 4 2'
_cell_length_a 4.2712
_cell_length_b 4.2712
_cell_length_c 8.8070
_cell_angle_alpha 90.00
_cell_angle_beta 90.00
_cell_angle_gamma 90.00
loop_
_atom_site_label
_atom_site_type_symbol
_atom_site_fract_x
_atom_site_fract_y
_atom_site_fract_z
Mg1 Mg 0.0000 0.0000 0.0000
Mg2 Mg 0.0000 0.0000 0.5000
Mg3 Mg 0.0000 0.5000 0.2469
V1 V 0.5000 0.5000 0.0000
Cr1 Cr 0.5000 0.5000 0.5000
O1 O 0.0000 0.0000 0.2511
O2 O 0.0000 0.5000 0.0000
O3 O 0.0000 0.5000 0.5000
O4 O 0.5000 0.5000 0.2437
```

Main lines, by angle (2θ from 10° to 80°):
2θ (°)  d_spacing  I (rel.)
20.80  4.271  13
36.06  2.491  34
40.99  2.202  55
42.32  2.136  100
60.38  1.533  59
61.40  1.510  28
73.31  1.291  11
76.49  1.245  26

=====

Record 3
Structure and theoretical powder diffractogram of MgV4O5F7 (a PBE+U-relaxed structure; a wavelength of 1.5418 Å).
No peak broadening, texture or thermal motion is included.

Crystal structure
```
data_MgV4O5F7
_space_group_name_H-M_alt 'P 1'
_space_group_IT_number 1
_space_group_name_Hall 'P 1'
_cell_length_a 5.2791
_cell_length_b 5.4318
_cell_length_c 8.8372
_cell_angle_alpha 90.74
_cell_angle_beta 105.42
_cell_angle_gamma 117.86
loop_
_atom_site_label
_atom_site_type_symbol
_atom_site_fract_x
_atom_site_fract_y
_atom_site_fract_z
Mg1 Mg 0.0000 0.0000 0.0000
V1 V 0.2315 0.1633 0.4044
V2 V 0.2799 0.6627 0.9026
V3 V 0.7067 0.8603 0.6282
V4 V 0.8095 0.4203 0.1559
O1 O 0.0084 0.2053 0.1975
O2 O 0.4519 0.5610 0.5004
O3 O 0.6044 0.8109 0.8211
O4 O 0.9650 0.5952 0.0105
O5 O 0.9692 0.0640 0.4994
F1 F 0.0143 0.7474 0.7250
F2 F 0.0822 0.2537 0.8283
F3 F 0.0992 0.7634 0.3124
F4 F 0.4318 0.0728 0.0149
F5 F 0.5253 0.1029 0.5796
F6 F 0.5319 0.6014 0.0966
F7 F 0.5814 0.2760 0.3073
```

Main lines, by angle (2θ from 10° to 80°):
2θ (°)  d_spacing  I (rel.)
22.97  3.871  100
23.77  3.744  77
24.27  3.668  100
33.03  2.712  22
39.85  2.262  20
46.94  1.935  29
49.72  1.834  27
59.69  1.549  21

=====

Record 4
Structure and theoretical powder diffractogram of Li3Fe2Si2O8 (a PBE+U-relaxed structure; a wavelength of 1.5418 Å).
No peak broadening, texture or thermal motion is included.

Crystal structure
```
data_Li3Fe2Si2O8
_space_group_name_H-M_alt 'P 1 c 1'
_space_group_IT_number 7
_space_group_name_Hall 'P -2yc'
_cell_length_a 6.6224
_cell_length_b 5.1110
_cell_length_c 10.7485
_cell_angle_alpha 90.00
_cell_angle_beta 90.66
_cell_angle_gamma 90.00
loop_
_atom_site_label
_atom_site_type_symbol
_atom_site_fract_x
_atom_site_fract_y
_atom_site_fract_z
Li1 Li 0.0000 0.0642 0.0000
Li2 Li 0.0030 0.4308 0.8310
Li3 Li 0.7793 0.0664 0.2360
Fe1 Fe 0.4849 0.0497 0.0127
Fe2 Fe 0.4965 0.4367 0.8188
Si1 Si 0.2336 0.0727 0.2515
Si2 Si 0.7544 0.4351 0.5709
O1 O 0.0316 0.0393 0.8157
O2 O 0.2403 0.0091 0.1033
O3 O 0.2573 0.3898 0.2798
O4 O 0.4499 0.0589 0.8155
O5 O 0.5443 0.4610 0.9951
O6 O 0.7274 0.4679 0.2208
O7 O 0.7422 0.1097 0.5711
O8 O 0.9442 0.4406 0.0055
```

Main lines, by angle (2θ from 10° to 80°):
2θ (°)  d_spacing  I (rel.)
13.37  6.622  100
21.17  4.196  40
21.97  4.046  37
23.55  3.778  19
27.69  3.221  56
31.91  2.804  21
33.36  2.686  52
35.12  2.556  44